This entry pairs a crystal structure of RbMg2Pb4 with its calculated PXRD pattern. Radiation: Cu Kα. Structure: the GGA-PBE geometry in Alexandria.
No peak broadening, texture or thermal motion is included.

Crystal structure
abc: 9.348 9.348 5.281
angles: 90.00 90.00 90.00
Space group P4_2/mnm (No. 136)
One atom of each set of equivalent atoms:
1 Rb 0.000 0.000 0.000 x2
2 Mg 0.219 0.219 0.500 x4
3 Pb 0.091 0.656 0.500 x8

Largest 12 diffraction maxima, by angle, 5 to 70 degrees two-theta:
hkl 1 1 0, 6.610 Å, 2θ = 13.40°, rel. 65.7
hkl 1 1 1, 4.126 Å, 2θ = 21.54°, rel. 53.5
hkl 2 1 1, 3.278 Å, 2θ = 27.21°, rel. 63.1
hkl 3 1 0, 2.956 Å, 2θ = 30.23°, rel. 48.1
hkl 2 2 1, 2.802 Å, 2θ = 31.95°, rel. 100.0
hkl 0 0 2, 2.640 Å, 2θ = 33.95°, rel. 40.1
hkl 3 1 1, 2.579 Å, 2θ = 34.78°, rel. 58.9
hkl 4 1 0, 2.267 Å, 2θ = 39.76°, rel. 22.8
hkl 3 1 2, 1.969 Å, 2θ = 46.09°, rel. 30.7
hkl 5 0 1, 1.762 Å, 2θ = 51.88°, rel. 25.4
hkl 4 1 2, 1.720 Å, 2θ = 53.25°, rel. 19.8
hkl 2 2 3, 1.554 Å, 2θ = 59.50°, rel. 17.6